No. 1
Structure and calculated powder diffraction line list of Mg6NiB (a DFT-relaxed cell (GGA-PBE, the Materials Project); Cu Kα, 1.54184 Å).

Peak list (8 most intense, 2θ = 10–90°, sorted by position)
| 2θ (°) | Rel. int. | hkl |
| --- | --- | --- |
| 16.5 | 32.9 | 0 1 1 |
| 26.0 | 24.3 | 1 1 1 |
| 33.3 | 21.4 | 0 2 2 |
| 36.2 | 13.5 | 0 0 4 |
| 39.2 | 100.0 | 1 2 2 |
| 40.6 | 28.5 | 2 0 0 |
| 41.7 | 33.4 | 1 0 4 |
| 73.0 | 23.2 | 2 4 0 |

Cell and atoms:
Lattice parameters (Å, degrees): 4.440 6.393 9.937 90.00 90.00 90.00
Space group Amm2 (No. 38)
One atom of each set of equivalent atoms:
Mg: 0.000 0.000 0.000 [2 per cell]
Mg: 0.000 0.000 0.496 [2 per cell]
Mg: 0.000 0.246 0.731 [4 per cell]
Mg: 0.500 0.248 0.422 [4 per cell]
Ni: 0.500 0.000 0.162 [2 per cell]
B: 0.500 0.000 0.640 [2 per cell]

---

No. 2
Structure and calculated powder diffraction line list of Cs2LiNbF6 (a DFT-relaxed cell (GGA-PBE, the Materials Project); Cu Kα, 1.54184 Å).

Peak list (8 most intense, 2θ = 10–90°, sorted by position)
| 2θ (°) | Rel. int. | hkl |
| --- | --- | --- |
| 17.4 | 20.8 | 1 1 1 |
| 28.6 | 100.0 | 2 2 0 |
| 35.2 | 28.5 | 2 2 2 |
| 40.9 | 41.2 | 4 0 0 |
| 50.7 | 40.9 | 4 2 2 |
| 59.3 | 25.6 | 4 4 0 |
| 67.1 | 18.3 | 6 2 0 |
| 81.7 | 21.6 | 6 4 2 |

Cell and atoms:
Lattice parameters (Å, degrees): 8.821 8.821 8.821 90.00 90.00 90.00
Space group Fm-3m (No. 225)
One atom of each set of equivalent atoms:
Cs: 0.250 0.250 0.250 [8 per cell]
Li: 0.000 0.000 0.000 [4 per cell]
Nb: 0.000 0.000 0.500 [4 per cell]
F: 0.000 0.000 0.258 [24 per cell]

---

No. 3
Structure and calculated powder diffraction line list of Mg7Si4 (a DFT-relaxed cell (GGA-PBE, the Materials Project); Cu Kα, 1.54184 Å).

Peak list (8 most intense, 2θ = 10–90°, sorted by position)
| 2θ (°) | Rel. int. | hkl |
| --- | --- | --- |
| 33.3 | 56.2 | 0 2 -3 |
| 33.8 | 44.4 | 1 1 3 |
| 34.1 | 56.5 | 0 1 -5 |
| 35.1 | 49.8 | -1 2 2 |
| 36.0 | 35.6 | 1 2 -1 |
| 37.2 | 38.4 | 2 0 -3 |
| 38.3 | 42.9 | 1 2 1 |
| 38.5 | 100.0 | 2 -1 2 |

Cell and atoms:
Lattice parameters (Å, degrees): 5.343 6.153 13.925 96.56 96.58 97.98
Space group P1 (No. 1)
One atom of each set of equivalent atoms:
Mg: 0.000 0.000 0.000 [1 per cell]
Mg: 0.002 0.293 0.581 [1 per cell]
Mg: 0.032 0.126 0.798 [1 per cell]
Mg: 0.037 0.815 0.244 [1 per cell]
Mg: 0.150 0.322 0.363 [1 per cell]
Mg: 0.159 0.530 0.021 [1 per cell]
Mg: 0.224 0.829 0.474 [1 per cell]
Mg: 0.463 0.821 0.869 [1 per cell]
Mg: 0.497 0.046 0.676 [1 per cell]
Mg: 0.606 0.318 0.920 [1 per cell]
Mg: 0.611 0.034 0.337 [1 per cell]
Mg: 0.701 0.578 0.408 [1 per cell]
Mg: 0.834 0.319 0.175 [1 per cell]
Mg: 0.914 0.609 0.784 [1 per cell]
Si: 0.312 0.182 0.183 [1 per cell]
Si: 0.389 0.446 0.749 [1 per cell]
Si: 0.439 0.582 0.219 [1 per cell]
Si: 0.488 0.251 0.508 [1 per cell]
Si: 0.510 0.004 0.053 [1 per cell]
Si: 0.516 0.607 0.607 [1 per cell]
Si: 0.672 0.660 0.072 [1 per cell]
Si: 0.926 0.834 0.622 [1 per cell]

---

No. 4
Structure and calculated powder diffraction line list of HoFe2 (a DFT-relaxed cell (GGA-PBE, the Materials Project); Cu Kα, 1.54184 Å).

Peak list (8 most intense, 2θ = 10–90°, sorted by position)
| 2θ (°) | Rel. int. | hkl |
| --- | --- | --- |
| 21.3 | 18.1 | 1 1 1 |
| 35.1 | 69.3 | 2 2 0 |
| 41.4 | 100.0 | 3 1 1 |
| 43.3 | 13.2 | 2 2 2 |
| 62.9 | 25.7 | 4 2 2 |
| 67.2 | 30.5 | 5 1 1 |
| 74.1 | 21.9 | 4 4 0 |
| 84.7 | 11.4 | 6 2 0 |

Cell and atoms:
Lattice parameters (Å, degrees): 7.238 7.238 7.238 90.00 90.00 90.00
Space group Fd-3m (No. 227, origin choice 2)
One atom of each set of equivalent atoms:
Ho: 0.125 0.125 0.125 [8 per cell]
Fe: 0.000 0.000 0.500 [16 per cell]

---

No. 5
Structure and calculated powder diffraction line list of La2TiCo16 (a DFT-relaxed cell (GGA-PBE, the Materials Project); Cu Kα, 1.54184 Å).

Peak list (8 most intense, 2θ = 10–90°, sorted by position)
| 2θ (°) | Rel. int. | hkl |
| --- | --- | --- |
| 30.3 | 33.0 | 1 1 3 |
| 36.7 | 36.8 | 3 0 0 |
| 38.2 | 33.1 | 0 2 4 |
| 42.7 | 64.0 | 2 2 0 |
| 43.0 | 100.0 | 3 0 3 |
| 43.9 | 18.1 | 2 1 4 |
| 44.1 | 32.3 | 0 0 6 |
| 48.3 | 28.3 | 2 2 3 |

Cell and atoms:
Lattice parameters (Å, degrees): 8.4774 8.4774 12.3133 90.00 90.00 120.00
Space group R3m (No. 160, hexagonal axes)
One atom of each set of equivalent atoms:
La: 0.0000 0.0000 0.0000 [3 per cell]
La: 0.0000 0.0000 0.3033 [3 per cell]
Ti: 0.0000 0.0000 0.7417 [3 per cell]
Co: 0.0000 0.0000 0.5507 [3 per cell]
Co: 0.0046 0.5023 0.1492 [9 per cell]
Co: 0.0060 0.5030 0.4950 [9 per cell]
Co: 0.0460 0.3784 0.3145 [18 per cell]
Co: 0.1710 0.3420 0.1365 [9 per cell]

---

No. 6
Structure and calculated powder diffraction line list of U3H2O10 (a DFT-relaxed cell (GGA-PBE, the Materials Project); Cu Kα, 1.54184 Å).

Peak list (8 most intense, 2θ = 10–90°, sorted by position)
| 2θ (°) | Rel. int. | hkl |
| --- | --- | --- |
| 12.9 | 27.2 | 0 0 1 |
| 18.4 | 46.0 | 0 1 1 |
| 20.8 | 100.0 | 1 1 0 |
| 26.1 | 40.7 | 1 -1 0 |
| 27.4 | 45.2 | 1 0 2 |
| 27.5 | 42.8 | 0 1 2 |
| 34.7 | 45.6 | 1 0 -2 |
| 42.3 | 22.4 | 2 2 0 |

Cell and atoms:
Lattice parameters (Å, degrees): 5.570 5.899 7.387 73.61 72.11 73.19
Space group P1 (No. 1)
One atom of each set of equivalent atoms:
U: 0.000 0.000 0.000 [1 per cell]
U: 0.093 0.882 0.494 [1 per cell]
U: 0.549 0.440 0.742 [1 per cell]
H: 0.415 0.634 0.189 [1 per cell]
H: 0.543 0.093 0.355 [1 per cell]
O: 0.241 0.204 0.889 [1 per cell]
O: 0.241 0.739 0.211 [1 per cell]
O: 0.243 0.755 0.781 [1 per cell]
O: 0.355 0.085 0.393 [1 per cell]
O: 0.450 0.518 0.506 [1 per cell]
O: 0.643 0.363 0.981 [1 per cell]
O: 0.767 0.811 0.091 [1 per cell]
O: 0.850 0.669 0.608 [1 per cell]
O: 0.853 0.125 0.702 [1 per cell]
O: 0.875 0.086 0.303 [1 per cell]

---

No. 7
Structure and calculated powder diffraction line list of MgCO3 (a DFT-relaxed cell (GGA-PBE, the Materials Project); Cu Kα, 1.54184 Å).

Peak list (8 most intense, 2θ = 10–90°, sorted by position)
| 2θ (°) | Rel. int. | hkl |
| --- | --- | --- |
| 18.4 | 38.0 | 1 1 0 |
| 30.7 | 94.3 | 1 1 1 |
| 35.2 | 29.0 | 1 3 0 |
| 37.3 | 14.8 | 2 2 0 |
| 43.3 | 68.3 | 1 3 1 |
| 45.1 | 100.0 | 2 2 1 |
| 53.2 | 12.9 | 2 4 0 |
| 54.4 | 15.9 | 3 1 1 |

Cell and atoms:
Lattice parameters (Å, degrees): 5.851 8.508 3.647 90.00 90.00 90.00
Space group C222_1 (No. 20)
One atom of each set of equivalent atoms:
Mg: 0.000 0.212 0.250 [4 per cell]
C: 0.153 0.500 0.000 [4 per cell]
O: 0.000 0.417 0.750 [4 per cell]
O: 0.226 0.120 0.647 [8 per cell]

---

No. 8
Structure and calculated powder diffraction line list of Dy3Si2Ni (a DFT-relaxed cell (GGA-PBE, the Materials Project); Cu Kα, 1.54184 Å).

Peak list (8 most intense, 2θ = 10–90°, sorted by position)
| 2θ (°) | Rel. int. | hkl |
| --- | --- | --- |
| 24.3 | 46.1 | 1 1 1 |
| 27.9 | 72.1 | 2 1 1 |
| 28.5 | 56.2 | 3 0 2 |
| 31.2 | 49.6 | 2 1 2 |
| 32.2 | 100.0 | 0 1 3 |
| 33.2 | 50.1 | 3 1 1 |
| 36.0 | 69.4 | 3 1 2 |
| 43.8 | 49.3 | 0 2 0 |

Cell and atoms:
Lattice parameters (Å, degrees): 11.306 4.134 11.243 90.00 90.00 90.00
Space group Pnma (No. 62)
One atom of each set of equivalent atoms:
Dy: 0.058 0.250 0.125 [4 per cell]
Dy: 0.118 0.750 0.560 [4 per cell]
Dy: 0.214 0.250 0.803 [4 per cell]
Si: 0.025 0.750 0.314 [4 per cell]
Si: 0.196 0.750 0.995 [4 per cell]
Ni: 0.129 0.250 0.367 [4 per cell]